For Sm2ScCu6, a crystal structure in Alexandria, relaxed with GGA-PBE gives the computed powder XRD pattern in this record (Cu Kα (λ = 1.5418 Å)).
Neutral-atom scattering factors, no anomalous dispersion.

The 12 most intense peaks (2θ from 10° to 90°), in order of rising 2θ:
index  2theta  Rel. int.
1 0 0  13.94  14
1 1 0  24.27  8
2 0 0  28.10  4
1 0 1  28.91  7
1 1 1  35.27  100
3 0 0  42.71  55
0 0 2  51.73  10
2 2 1  56.55  25
3 0 2  69.26  24
4 1 1  73.38  22
3 3 0  78.21  8
1 1 3  86.85  7

Structural model:
```
Sm2ScCu6
1.0
7.3336 0.0000 0.0000
-3.6668 6.3511 0.0000
0.0000 0.0000 3.5340
Sm Sc Cu
2 1 6
Cartesian
0.0000 4.2340 0.0000 Sm
3.6668 2.1170 0.0000 Sm
0.0000 0.0000 0.0000 Sc
-1.2052 2.0875 1.7670 Cu
-2.4615 4.2635 1.7670 Cu
2.4105 0.0000 1.7670 Cu
1.2052 2.0875 1.7670 Cu
4.9231 0.0000 1.7670 Cu
2.4615 4.2635 1.7670 Cu
```